(1)
Calculated XRD peak list
Compound: Na4Ir2O9
Radiation: Cu Kα X-rays
Structure: a crystal structure in Alexandria, relaxed with GGA-PBE
Neutral-atom scattering factors, no anomalous dispersion.

Structural model:
a = 5.6772 Å, b = 5.6772 Å, c = 14.4512 Å
α = 90.00°, β = 90.00°, γ = 120.00°
Space group P-3c1 (No. 165)
Symmetry-distinct sites (fractional):
Na: 0.3333 0.6667 0.1945 (multiplicity 4)
Na: 0.3333 0.6667 0.4789 (multiplicity 4)
Ir: 0.0000 0.0000 0.1490 (multiplicity 4)
O: 0.0000 0.2471 0.2500 (multiplicity 6)
O: 0.0286 0.2955 0.5862 (multiplicity 12)

Largest 8 diffraction maxima, in order of falling intensity, 10 to 90 degrees two-theta:
- 18.04 deg, d 4.917, I = 100, (1 0 0)
- 30.71 deg, d 2.911, I = 46, (0 1 4)
- 31.52 deg, d 2.839, I = 33, (1 1 0)
- 55.62 deg, d 1.653, I = 19, (1 2 4)
- 49.64 deg, d 1.837, I = 18, (1 1 6)
- 44.58 deg, d 2.032, I = 18, (2 0 4)
- 21.87 deg, d 4.065, I = 15, (1 0 2)
- 40.41 deg, d 2.232, I = 12, (1 1 4)


(2)
Calculated XRD peak list
Compound: NaPIr2O8
Radiation: Cu Kα X-rays
Structure: a crystal structure in Alexandria, relaxed with GGA-PBE
Neutral-atom scattering factors, no anomalous dispersion.

Structural model:
a = 5.2240 Å, b = 5.2240 Å, c = 6.1708 Å
α = 90.00°, β = 90.00°, γ = 120.00°
Space group P-3m1 (No. 164)
Symmetry-distinct sites (fractional):
Na: 0.0000 0.0000 0.0000 (multiplicity 1)
P: 0.0000 0.0000 0.5000 (multiplicity 1)
Ir: 0.3333 0.6667 0.4434 (multiplicity 2)
O: 0.1581 0.3162 0.6578 (multiplicity 6)
O: 0.3333 0.6667 0.1652 (multiplicity 2)

Largest 8 diffraction maxima, in order of falling intensity, 10 to 90 degrees two-theta:
- 14.35 deg, d 6.171, I = 100, (0 0 1)
- 34.33 deg, d 2.612, I = 42, (1 1 0)
- 37.39 deg, d 2.405, I = 38, (1 1 1)
- 24.40 deg, d 3.649, I = 38, (0 1 1)
- 45.50 deg, d 1.994, I = 23, (1 1 2)
- 42.57 deg, d 2.124, I = 19, (2 0 1)
- 48.62 deg, d 1.872, I = 16, (0 1 3)
- 35.21 deg, d 2.549, I = 15, (0 1 2)


(3)
Calculated XRD peak list
Compound: Na2IrPtO4
Radiation: Cu Kα X-rays
Structure: a crystal structure in Alexandria, relaxed with GGA-PBE
Neutral-atom scattering factors, no anomalous dispersion.

Structural model:
a = 5.793 Å, b = 5.793 Å, c = 6.635 Å
α = 90.00°, β = 90.00°, γ = 90.00°
Space group I-4 (No. 82)
Symmetry-distinct sites (fractional):
Na: 0.000 0.000 0.000 (multiplicity 2)
Na: 0.000 0.500 0.250 (multiplicity 2)
Ir: 0.000 0.000 0.500 (multiplicity 2)
Pt: 0.000 0.500 0.750 (multiplicity 2)
O: 0.139 0.819 0.723 (multiplicity 8)

Largest 8 diffraction maxima, in order of falling intensity, 10 to 90 degrees two-theta:
- 20.35 deg, d 4.364, I = 100, (1 0 1)
- 34.80 deg, d 2.578, I = 75, (1 1 2)
- 30.87 deg, d 2.897, I = 49, (2 0 0)
- 57.46 deg, d 1.604, I = 44, (1 3 2)
- 37.26 deg, d 2.413, I = 39, (1 2 1)
- 44.22 deg, d 2.048, I = 22, (2 2 0)
- 54.56 deg, d 1.682, I = 14, (1 2 3)
- 64.77 deg, d 1.439, I = 13, (2 0 4)